(1)
La6FeSi2S14: simulated powder diffraction line list (Cu Ka), based on the PBE geometry in the Materials Project.

Structure:
```
data_La6FeSi2S14
_chemical_formula_sum 'La6 Fe1 Si2 S14'
_symmetry_space_group_name_H-M 'P 1'
_symmetry_Int_Tables_number 1
_cell_length_a 10.3230
_cell_length_b 10.3230
_cell_length_c 5.7848
_cell_angle_alpha 90.00
_cell_angle_beta 90.00
_cell_angle_gamma 120.00
loop_
_symmetry_equiv_pos_as_xyz
'x,y,z'
loop_
_atom_site_label
_atom_site_fract_x
_atom_site_fract_y
_atom_site_fract_z
La1 0.0199 0.4532 0.0000
La2 0.3099 0.2100 0.5007
La3 0.4333 0.9801 0.0000
La4 0.5468 0.5667 0.0000
La5 0.7900 0.0999 0.5007
La6 0.9001 0.6901 0.5007
Fe1 0.6667 0.3333 0.7363
Si1 0.0000 0.0000 0.0843
Si2 0.3333 0.6667 0.5860
S1 0.0000 0.0000 0.7203
S2 0.0765 0.2178 0.2247
S3 0.1413 0.9235 0.2247
S4 0.1897 0.7404 0.7258
S5 0.2596 0.4493 0.7258
S6 0.3333 0.6667 0.2216
S7 0.4260 0.2504 0.9757
S8 0.5072 0.0970 0.5032
S9 0.5507 0.8103 0.7258
S10 0.5898 0.4928 0.5032
S11 0.7496 0.1756 0.9757
S12 0.7822 0.8587 0.2247
S13 0.8244 0.5740 0.9757
S14 0.9030 0.4102 0.5032
```

Peak list (10 most intense, 10° ≤ 2θ ≤ 90°, most intense first)
2θ = 25.2°, I 100.0
2θ = 39.5°, I 58.0
2θ = 36.2°, I 53.9
2θ = 23.1°, I 47.0
2θ = 37.0°, I 35.1
2θ = 41.1°, I 33.2
2θ = 48.3°, I 31.1
2θ = 18.3°, I 30.2
2θ = 26.4°, I 29.2
2θ = 34.8°, I 28.3

(2)
Ce6Mg23Sb: simulated powder diffraction line list (Cu Ka), based on the PBE geometry in the Materials Project.

Structure:
```
data_Ce6Mg23Sb
_chemical_formula_sum 'Ce6 Mg23 Sb1'
_symmetry_space_group_name_H-M 'P 1'
_symmetry_Int_Tables_number 1
_cell_length_a 10.2851
_cell_length_b 10.2851
_cell_length_c 10.2851
_cell_angle_alpha 60.00
_cell_angle_beta 60.00
_cell_angle_gamma 60.00
loop_
_symmetry_equiv_pos_as_xyz
'x,y,z'
loop_
_atom_site_label
_atom_site_fract_x
_atom_site_fract_y
_atom_site_fract_z
Ce1 0.2165 0.2165 0.7835
Ce2 0.2165 0.7835 0.2165
Ce3 0.2165 0.7835 0.7835
Ce4 0.7835 0.2165 0.2165
Ce5 0.7835 0.2165 0.7835
Ce6 0.7835 0.7835 0.2165
Mg1 0.0000 0.0000 0.5000
Mg2 0.0000 0.5000 0.0000
Mg3 0.0000 0.5000 0.5000
Mg4 0.1355 0.6215 0.6215
Mg5 0.1713 0.1713 0.1713
Mg6 0.1713 0.1713 0.4862
Mg7 0.1713 0.4862 0.1713
Mg8 0.3785 0.3785 0.3785
Mg9 0.3785 0.3785 0.8645
Mg10 0.3785 0.8645 0.3785
Mg11 0.4862 0.1713 0.1713
Mg12 0.5000 0.0000 0.0000
Mg13 0.5000 0.0000 0.5000
Mg14 0.5000 0.5000 0.0000
Mg15 0.5000 0.5000 0.5000
Mg16 0.5138 0.8287 0.8287
Mg17 0.6215 0.1355 0.6215
Mg18 0.6215 0.6215 0.1355
Mg19 0.6215 0.6215 0.6215
Mg20 0.8287 0.5138 0.8287
Mg21 0.8287 0.8287 0.5138
Mg22 0.8287 0.8287 0.8287
Mg23 0.8645 0.3785 0.3785
Sb1 0.0000 0.0000 0.0000
```

Peak list (10 most intense, 10° ≤ 2θ ≤ 90°, most intense first)
2θ = 34.9°, I 100.0
2θ = 32.0°, I 75.3
2θ = 24.5°, I 50.5
2θ = 21.2°, I 40.6
2θ = 12.2°, I 35.9
2θ = 10.5°, I 34.8
2θ = 27.4°, I 31.1
2θ = 66.5°, I 28.5
2θ = 44.5°, I 25.5
2θ = 37.1°, I 21.5

(3)
KAlO2: simulated powder diffraction line list (Cu Ka), based on the PBE geometry in the Materials Project.

Structure:
```
data_KAlO2
_chemical_formula_sum 'K2 Al2 O4'
_symmetry_space_group_name_H-M 'P 1'
_symmetry_Int_Tables_number 1
_cell_length_a 5.6987
_cell_length_b 5.6987
_cell_length_c 5.6987
_cell_angle_alpha 60.00
_cell_angle_beta 60.00
_cell_angle_gamma 60.00
loop_
_symmetry_equiv_pos_as_xyz
'x,y,z'
loop_
_atom_site_label
_atom_site_fract_x
_atom_site_fract_y
_atom_site_fract_z
K1 0.1250 0.1250 0.1250
K2 0.8750 0.8750 0.8750
Al1 0.3750 0.3750 0.3750
Al2 0.6250 0.6250 0.6250
O1 0.0000 0.5000 0.5000
O2 0.5000 0.0000 0.5000
O3 0.5000 0.5000 0.0000
O4 0.5000 0.5000 0.5000
```

Peak list (10 most intense, 10° ≤ 2θ ≤ 90°, most intense first)
2θ = 31.4°, I 100.0
2θ = 55.9°, I 33.6
2θ = 65.5°, I 19.8
2θ = 37.0°, I 18.2
2θ = 74.5°, I 13.5
2θ = 38.7°, I 8.4
2θ = 45.0°, I 4.8
2θ = 59.6°, I 3.8
2θ = 19.1°, I 3.5
2θ = 78.8°, I 1.6

(4)
K4TiO4: simulated powder diffraction line list (Cu Ka), based on the PBE geometry in the Materials Project.

Structure:
```
data_K4TiO4
_chemical_formula_sum 'K16 Ti4 O16'
_symmetry_space_group_name_H-M 'P 1'
_symmetry_Int_Tables_number 1
_cell_length_a 10.7500
_cell_length_b 6.6877
_cell_length_c 10.7870
_cell_angle_alpha 90.00
_cell_angle_beta 111.77
_cell_angle_gamma 90.00
loop_
_symmetry_equiv_pos_as_xyz
'x,y,z'
loop_
_atom_site_label
_atom_site_fract_x
_atom_site_fract_y
_atom_site_fract_z
K1 0.0625 0.0917 0.1966
K2 0.0625 0.4083 0.6966
K3 0.1589 0.6113 0.0833
K4 0.1589 0.8887 0.5833
K5 0.3693 0.6666 0.8909
K6 0.3693 0.8334 0.3909
K7 0.4248 0.1856 0.7931
K8 0.4248 0.3144 0.2931
K9 0.5752 0.6856 0.7069
K10 0.5752 0.8144 0.2069
K11 0.6307 0.1666 0.6091
K12 0.6307 0.3334 0.1091
K13 0.8411 0.1113 0.4167
K14 0.8411 0.3887 0.9167
K15 0.9375 0.5917 0.3034
K16 0.9375 0.9083 0.8034
Ti1 0.2424 0.1285 0.9902
Ti2 0.2424 0.3715 0.4902
Ti3 0.7576 0.6285 0.5098
Ti4 0.7576 0.8715 0.0098
O1 0.0812 0.2406 0.9713
O2 0.0812 0.2594 0.4713
O3 0.2194 0.5105 0.3353
O4 0.2194 0.9895 0.8353
O5 0.3065 0.5353 0.6402
O6 0.3065 0.9647 0.1402
O7 0.3652 0.1666 0.5135
O8 0.3652 0.3334 0.0135
O9 0.6348 0.6666 0.9865
O10 0.6348 0.8334 0.4865
O11 0.6935 0.0353 0.8598
O12 0.6935 0.4647 0.3598
O13 0.7806 0.0105 0.1647
O14 0.7806 0.4895 0.6647
O15 0.9188 0.7406 0.5287
O16 0.9188 0.7594 0.0287
```

Peak list (10 most intense, 10° ≤ 2θ ≤ 90°, most intense first)
2θ = 30.6°, I 100.0
2θ = 29.3°, I 92.2
2θ = 36.2°, I 70.2
2θ = 36.3°, I 56.3
2θ = 29.6°, I 47.8
2θ = 48.8°, I 23.7
2θ = 53.1°, I 23.2
2θ = 53.6°, I 17.9
2θ = 15.9°, I 17.8
2θ = 17.7°, I 15.2

(5)
Rb2LiTc2O8: simulated powder diffraction line list (Cu Ka), based on the PBE geometry in the Materials Project.

Structure:
```
data_Rb2LiTc2O8
_chemical_formula_sum 'Rb2 Li1 Tc2 O8'
_symmetry_space_group_name_H-M 'P 1'
_symmetry_Int_Tables_number 1
_cell_length_a 5.7009
_cell_length_b 6.3947
_cell_length_c 7.8670
_cell_angle_alpha 113.37
_cell_angle_beta 110.54
_cell_angle_gamma 91.46
loop_
_symmetry_equiv_pos_as_xyz
'x,y,z'
loop_
_atom_site_label
_atom_site_fract_x
_atom_site_fract_y
_atom_site_fract_z
Rb1 0.0000 0.0000 0.0000
Rb2 0.2505 0.7491 0.5021
Li1 0.2868 0.2871 0.5823
Tc1 0.5034 0.5028 0.0066
Tc2 0.7603 0.2614 0.5226
O1 0.3113 0.6161 0.8457
O2 0.3539 0.4664 0.1547
O3 0.4447 0.0882 0.3908
O4 0.5341 0.2284 0.8455
O5 0.7061 0.5370 0.6625
O6 0.8005 0.6870 0.1542
O7 0.9419 0.3011 0.3883
O8 0.9580 0.1266 0.6617
```

Peak list (10 most intense, 10° ≤ 2θ ≤ 90°, most intense first)
2θ = 24.6°, I 100.0
2θ = 25.1°, I 90.8
2θ = 26.9°, I 31.2
2θ = 39.1°, I 30.2
2θ = 27.9°, I 27.8
2θ = 41.8°, I 22.9
2θ = 31.4°, I 18.1
2θ = 47.2°, I 17.6
2θ = 46.1°, I 15.5
2θ = 50.5°, I 13.9